[1]
For Ac12Al2Ge5, a structure optimized by DFT (GGA-PBE) gives the simulated X-ray diffraction stick pattern in this record (copper Kα).

Structure:
```
data_Ac12Al2Ge5
_cell_length_a 18.5626
_cell_length_b 7.8647
_cell_length_c 10.1837
_cell_angle_alpha 90.00
_cell_angle_beta 104.73
_cell_angle_gamma 90.00
_space_group_name_H-M_alt 'C 1 2/m 1'
_space_group_IT_number 12
loop_
_space_group_symop_operation_xyz
'x,y,z'
'-x,-y,-z'
'-x,y,-z'
'x,-y,z'
'x+1/2,y+1/2,z'
'-x+1/2,-y+1/2,-z'
'-x+1/2,y+1/2,-z'
'x+1/2,-y+1/2,z'
loop_
_atom_site_label
_atom_site_type_symbol
_atom_site_fract_x
_atom_site_fract_y
_atom_site_fract_z
_atom_site_occupancy
Ac1 Ac 0.0033 0.0000 0.2874 1
Ac2 Ac 0.0167 0.5000 0.8143 1
Ac3 Ac 0.1512 0.2585 0.5662 1
Ac4 Ac 0.1742 0.2378 0.0973 1
Al1 Al 0.0000 0.1658 0.0000 1
Ge1 Ge 0.0000 0.5000 0.5000 1
Ge2 Ge 0.1810 0.0000 0.8245 1
Ge3 Ge 0.1996 0.0000 0.3633 1
```

Main lines, in order of falling intensity (2θ = 5–70°):
2theta	I/Imax	(hkl)
23.2	100	4 0 -2
29.9	94	6 0 0
22.7	85	2 0 2
24.7	80	2 2 0
30.2	79	4 2 0
29.2	73	2 2 -2
29.1	66	0 2 2
46.2	55	0 4 0
35.3	45	2 0 -4
38.5	35	6 2 -2
32.3	33	2 2 2
32.6	28	4 2 -2

***

[2]
For Ta5Mo3, a structure optimized by DFT (GGA-PBE) gives the simulated X-ray diffraction stick pattern in this record (copper Kα).

Structure:
```
data_Ta5Mo3
_cell_length_a 5.6803
_cell_length_b 18.1751
_cell_length_c 2.8509
_cell_angle_alpha 90.00
_cell_angle_beta 110.74
_cell_angle_gamma 90.00
_space_group_name_H-M_alt 'C 1 2 1'
_space_group_IT_number 5
loop_
_space_group_symop_operation_xyz
'x,y,z'
'-x,y,-z'
'x+1/2,y+1/2,z'
'-x+1/2,y+1/2,-z'
loop_
_atom_site_label
_atom_site_type_symbol
_atom_site_fract_x
_atom_site_fract_y
_atom_site_fract_z
_atom_site_occupancy
Ta1 Ta 0.0000 0.0000 0.0000 1
Ta2 Ta 0.0000 0.2421 0.0000 1
Ta3 Ta 0.0000 0.7418 0.0000 1
Ta4 Ta 0.2480 0.3723 0.4906 1
Mo1 Mo 0.0000 0.4990 0.0000 1
Mo2 Mo 0.2481 0.6194 0.4964 1
```

Main lines, in order of falling intensity (2θ = 5–70°):
2theta	I/Imax	(hkl)
39.2	100	0 4 1
39.3	99	2 4 0
38.4	53	2 0 -1
39.7	49	0 8 0
56.4	34	2 8 -1
9.7	19	0 2 0
69.9	18	2 4 -2
56.9	17	2 0 1
29.5	6	0 6 0
35.1	5	0 2 1
61.8	5	2 10 0
35.2	4	2 2 0

***

[3]
For Zn6PtO6, a structure optimized by DFT (GGA-PBE) gives the simulated X-ray diffraction stick pattern in this record (copper Kα).

Structure:
```
data_Zn6PtO6
_cell_length_a 5.6837
_cell_length_b 5.6837
_cell_length_c 5.6837
_cell_angle_alpha 90.00
_cell_angle_beta 90.00
_cell_angle_gamma 90.00
_space_group_name_H-M_alt 'P m -3'
_space_group_IT_number 200
_space_group_name_Hall '-P 2 2 3'
loop_
_atom_site_label
_atom_site_type_symbol
_atom_site_fract_x
_atom_site_fract_y
_atom_site_fract_z
_atom_site_occupancy
Zn1 Zn 0.0000 0.2449 0.5000 1
Pt1 Pt 0.0000 0.0000 0.0000 1
O1 O 0.0000 0.5000 0.2553 1
```

Main lines, in order of falling intensity (2θ = 5–70°):
2theta	I/Imax	(hkl)
38.8	100	2 1 1
35.3	83	2 1 0
15.6	66	1 0 0
61.0	51	3 1 2
31.5	45	2 0 0
27.2	21	1 1 1
48.0	19	2 2 1
58.6	19	3 0 2
65.7	18	4 0 0
53.5	11	3 1 1
68.0	10	4 1 0
56.1	8	2 2 2

***

[4]
For AlInPd4, a structure optimized by DFT (GGA-PBE) gives the simulated X-ray diffraction stick pattern in this record (copper Kα).

Structure:
```
data_AlInPd4
_cell_length_a 4.7420
_cell_length_b 8.7123
_cell_length_c 4.7561
_cell_angle_alpha 90.00
_cell_angle_beta 103.00
_cell_angle_gamma 90.00
_space_group_name_H-M_alt 'P 1 21/c 1'
_space_group_IT_number 14
loop_
_space_group_symop_operation_xyz
'x,y,z'
'-x,-y,-z'
'-x,y+1/2,-z+1/2'
'x,-y+1/2,z+1/2'
loop_
_atom_site_label
_atom_site_type_symbol
_atom_site_fract_x
_atom_site_fract_y
_atom_site_fract_z
_atom_site_occupancy
Al1 Al 0.0000 0.0000 0.0000 1
In1 In 0.5000 0.0000 0.5000 1
Pd1 Pd 0.0007 0.1622 0.5018 1
Pd2 Pd 0.4991 0.6594 0.4994 1
```

Main lines, in order of falling intensity (2θ = 5–70°):
2theta	I/Imax	(hkl)
39.4	100	1 3 -1
43.7	73	1 3 1
38.9	52	0 0 2
39.0	51	2 0 0
49.0	26	2 0 -2
67.7	20	1 3 -3
67.8	19	3 3 -1
62.9	12	2 0 2
64.1	12	0 6 0
21.7	10	0 1 1
19.2	7	1 0 0
28.2	7	1 2 0

***

[5]
For Li4YTl5, a structure optimized by DFT (GGA-PBE) gives the simulated X-ray diffraction stick pattern in this record (copper Kα).

Structure:
```
data_Li4YTl5
_cell_length_a 3.5677
_cell_length_b 3.5677
_cell_length_c 17.6067
_cell_angle_alpha 90.00
_cell_angle_beta 90.00
_cell_angle_gamma 90.00
_space_group_name_H-M_alt 'P 4/m m m'
_space_group_IT_number 123
_space_group_name_Hall '-P 4 2'
loop_
_atom_site_label
_atom_site_type_symbol
_atom_site_fract_x
_atom_site_fract_y
_atom_site_fract_z
_atom_site_occupancy
Li1 Li 0.0000 0.0000 0.0981 1
Li2 Li 0.0000 0.0000 0.2885 1
Y1 Y 0.0000 0.0000 0.5000 1
Tl1 Tl 0.5000 0.5000 0.0000 1
Tl2 Tl 0.5000 0.5000 0.1936 1
Tl3 Tl 0.5000 0.5000 0.3798 1
```

Main lines, in order of falling intensity (2θ = 5–70°):
2theta	I/Imax	(hkl)
35.8	100	1 0 5
25.0	94	1 0 0
35.6	60	1 1 0
64.1	40	2 1 5
25.3	37	0 0 5
44.2	35	1 1 5
51.2	26	2 0 0
57.8	20	2 1 0
58.0	17	2 0 5
64.5	11	1 1 10
63.7	10	1 0 11
58.5	8	1 0 10

***

[6]
For KBa2Bi2O9, a structure optimized by DFT (GGA-PBE) gives the simulated X-ray diffraction stick pattern in this record (copper Kα).

Structure:
```
data_KBa2Bi2O9
_cell_length_a 5.9730
_cell_length_b 5.9730
_cell_length_c 7.9417
_cell_angle_alpha 90.00
_cell_angle_beta 90.00
_cell_angle_gamma 120.00
_space_group_name_H-M_alt 'P -3 m 1'
_space_group_IT_number 164
_space_group_name_Hall '-P 3 2"'
loop_
_atom_site_label
_atom_site_type_symbol
_atom_site_fract_x
_atom_site_fract_y
_atom_site_fract_z
_atom_site_occupancy
K1 K 0.0000 0.0000 0.0000 1
Ba1 Ba 0.3333 0.6667 0.6420 1
Bi1 Bi 0.3333 0.6667 0.1555 1
O1 O 0.0000 0.5000 0.0000 1
O2 O 0.1788 0.3576 0.3301 1
```

Main lines, in order of falling intensity (2θ = 5–70°):
2theta	I/Imax	(hkl)
28.3	100	0 1 2
29.9	67	1 1 0
41.7	53	2 0 2
17.1	53	1 0 0
52.1	40	1 2 2
69.7	17	3 1 2
20.5	17	1 0 1
58.6	15	0 2 4
49.2	14	1 0 4
53.1	14	3 0 0
55.6	14	1 1 4
62.2	13	2 2 0